Record 1
Computed PXRD pattern
Compound: CsPrSn
Radiation: CuKα
Structure: a DFT-relaxed cell (PBE, Alexandria)
Peak positions follow from Bragg's law for the DFT cell and can differ from measured ones.

Principal peaks in the range 2θ from 10° to 90°, by angle:
hkl 0 0 4, d 3.684, I = 25; hkl 0 2 0, d 3.144, I = 100; hkl 2 0 -1, d 3.078, I = 20; hkl 1 1 -4, d 2.851, I = 45; hkl 1 1 4, d 2.822, I = 43; hkl 2 2 0, d 2.223, I = 38

Structural model:
```
data_CsPrSn
_chemical_formula_sum 'Cs4 Pr4 Sn4'
_cell_length_a 6.287
_cell_length_b 6.287
_cell_length_c 14.737
_cell_angle_alpha 90.00
_cell_angle_beta 90.84
_cell_angle_gamma 90.00
_space_group_name_H-M_alt 'C 1 2/m 1'
_space_group_IT_number 12
loop_
_space_group_symop_operation_xyz
'x,y,z'
'-x,-y,-z'
'-x,y,-z'
'x,-y,z'
'x+1/2,y+1/2,z'
'-x+1/2,-y+1/2,-z'
'-x+1/2,y+1/2,-z'
'x+1/2,-y+1/2,z'
loop_
_atom_site_label
_atom_site_type_symbol
_atom_site_fract_x
_atom_site_fract_y
_atom_site_fract_z
Cs1 Cs 0.239 0.000 0.170
Pr1 Pr 0.247 0.000 0.420
Sn1 Sn 0.245 0.500 0.357
```



Record 2
Computed PXRD pattern
Compound: CsPrSnTe3
Radiation: CuKα
Structure: a DFT-relaxed cell (PBE, Alexandria)
Peak positions follow from Bragg's law for the DFT cell and can differ from measured ones.

Principal peaks in the range 2θ from 10° to 90°, by angle:
hkl 1 1 1, d 3.696, I = 22; hkl 2 1 0, d 3.263, I = 100; hkl 1 0 -4, d 3.118, I = 51; hkl 0 2 0, d 2.280, I = 50; hkl 1 1 4, d 2.228, I = 37; hkl 1 2 -4, d 1.840, I = 27

Structural model:
```
data_CsPrSnTe3
_chemical_formula_sum 'Cs2 Pr2 Sn2 Te6'
_cell_length_a 9.961
_cell_length_b 4.558
_cell_length_c 12.481
_cell_angle_alpha 90.00
_cell_angle_beta 110.21
_cell_angle_gamma 90.00
_space_group_name_H-M_alt 'P 1 21/m 1'
_space_group_IT_number 11
loop_
_space_group_symop_operation_xyz
'x,y,z'
'-x,-y,-z'
'-x,y+1/2,-z'
'x,-y+1/2,z'
loop_
_atom_site_label
_atom_site_type_symbol
_atom_site_fract_x
_atom_site_fract_y
_atom_site_fract_z
Cs1 Cs 0.233 0.250 0.276
Pr1 Pr 0.362 0.750 0.845
Sn1 Sn 0.126 0.250 0.559
Te1 Te 0.114 0.250 0.786
Te2 Te 0.333 0.750 0.577
Te3 Te 0.402 0.750 0.109
```